Record 1
Diffraction record for Tb4Tm3Ag. The PXRD pattern is computed, not measured: it uses the PBE geometry in Alexandria and Cu Ka.
Peak positions follow from Bragg's law for the DFT cell and can differ from measured ones.

```
Tb4Tm3Ag
1.0
3.534 0.000 0.000
0.000 3.534 0.000
0.000 0.000 18.864
Tb Tm Ag
4 3 1
Cartesian
0.000 0.000 1.947
0.000 0.000 6.945
0.000 0.000 11.919
0.000 0.000 16.917
1.767 1.767 4.477
1.767 1.767 9.432
1.767 1.767 14.387
1.767 1.767 0.000
```

Principal peaks in the range 10 to 80 degrees two-theta, sorted by position:
- 2θ = 28.98°, intensity 6
- 2θ = 31.64°, intensity 100
- 2θ = 35.94°, intensity 40
- 2θ = 38.17°, intensity 11
- 2θ = 49.76°, intensity 7
- 2θ = 51.74°, intensity 14
- 2θ = 53.43°, intensity 16
- 2θ = 59.96°, intensity 8
- 2θ = 61.92°, intensity 29
- 2θ = 66.08°, intensity 9

=====

Record 2
Diffraction record for ThCu5Pt7. The PXRD pattern is computed, not measured: it uses the PBE geometry in Alexandria and Cu Ka.
Peak positions follow from Bragg's law for the DFT cell and can differ from measured ones.

```
ThCu5Pt7
1.0
-2.545 4.417 4.471
2.545 -4.417 4.471
2.545 4.417 -4.471
Th Cu Pt
1 5 7
Cartesian
0.000 0.000 0.000
1.262 2.248 2.198
1.283 -2.169 6.670
0.000 4.417 2.370
1.262 6.587 2.198
1.283 2.169 6.670
2.545 1.894 -0.055
2.545 0.000 1.967
2.545 -1.392 4.436
0.000 0.000 3.070
2.545 1.392 4.436
0.000 0.000 5.876
0.000 2.524 4.416
```

Principal peaks in the range 10 to 80 degrees two-theta, sorted by position:
- 2θ = 34.88°, intensity 30
- 2θ = 35.24°, intensity 100
- 2θ = 40.34°, intensity 28
- 2θ = 40.59°, intensity 62
- 2θ = 40.76°, intensity 92
- 2θ = 40.88°, intensity 38
- 2θ = 45.48°, intensity 26
- 2θ = 45.88°, intensity 52
- 2θ = 66.91°, intensity 19
- 2θ = 73.63°, intensity 38

=====

Record 3
Diffraction record for AgI. The PXRD pattern is computed, not measured: it uses the PBE geometry in Alexandria and Cu Ka.
Peak positions follow from Bragg's law for the DFT cell and can differ from measured ones.

```
AgI
1.0
4.526 0.000 0.000
0.000 4.526 0.000
0.000 0.000 6.982
Ag I
2 2
Cartesian
1.131 3.394 0.000
3.394 1.131 0.000
1.131 1.131 1.845
3.394 3.394 5.138
```

Principal peaks in the range 10 to 80 degrees two-theta, sorted by position:
- 2θ = 12.68°, intensity 67
- 2θ = 23.42°, intensity 100
- 2θ = 30.73°, intensity 49
- 2θ = 38.15°, intensity 99
- 2θ = 39.84°, intensity 44
- 2θ = 43.74°, intensity 17
- 2θ = 46.73°, intensity 31
- 2θ = 57.61°, intensity 15
- 2θ = 67.80°, intensity 16
- 2θ = 71.21°, intensity 30

=====

Record 4
Diffraction record for K2Cu5Te5. The PXRD pattern is computed, not measured: it uses the PBE geometry in Alexandria and Cu Ka.
Peak positions follow from Bragg's law for the DFT cell and can differ from measured ones.

```
K2Cu5Te5
1.0
2.064 -8.172 0.000
2.064 8.172 0.000
0.000 0.000 18.700
K Cu Te
4 10 10
Cartesian
2.064 7.883 11.563
2.064 7.883 16.486
2.064 -7.883 2.214
2.064 -7.883 7.136
2.064 5.291 4.675
2.064 4.500 0.740
2.064 4.500 8.610
2.064 3.283 12.109
2.064 3.283 15.941
2.064 -3.283 2.759
2.064 -3.283 6.591
2.064 -4.500 10.090
2.064 -4.500 17.960
2.064 -5.291 14.025
2.064 3.208 3.111
2.064 3.208 6.239
2.064 2.095 9.744
2.064 2.095 18.305
2.064 1.353 14.025
2.064 -1.353 4.675
2.064 -2.095 0.395
2.064 -2.095 8.955
2.064 -3.208 12.461
2.064 -3.208 15.588
```

Principal peaks in the range 10 to 80 degrees two-theta, sorted by position:
- 2θ = 10.83°, intensity 100
- 2θ = 22.22°, intensity 27
- 2θ = 26.20°, intensity 40
- 2θ = 27.10°, intensity 42
- 2θ = 27.52°, intensity 26
- 2θ = 29.02°, intensity 24
- 2θ = 39.84°, intensity 32
- 2θ = 40.13°, intensity 42
- 2θ = 43.86°, intensity 30
- 2θ = 45.68°, intensity 29

=====

Record 5
Diffraction record for LiPmZn6. The PXRD pattern is computed, not measured: it uses the PBE geometry in Alexandria and Cu Ka.
Peak positions follow from Bragg's law for the DFT cell and can differ from measured ones.

```
LiPmZn6
1.0
4.416 0.000 0.000
0.000 6.599 0.000
0.000 0.000 4.786
Li Pm Zn
1 1 6
Cartesian
0.000 0.000 0.000
2.208 3.300 3.243
0.000 1.326 2.482
0.000 3.300 0.750
0.000 5.274 2.482
2.208 0.000 3.266
2.208 1.384 0.855
2.208 5.215 0.855
```

Principal peaks in the range 10 to 80 degrees two-theta, sorted by position:
- 2θ = 18.54°, intensity 12
- 2θ = 20.11°, intensity 11
- 2θ = 30.70°, intensity 34
- 2θ = 32.97°, intensity 18
- 2θ = 37.58°, intensity 18
- 2θ = 38.92°, intensity 100
- 2θ = 40.87°, intensity 30
- 2θ = 41.03°, intensity 11
- 2θ = 42.99°, intensity 23
- 2θ = 73.12°, intensity 15

=====

Record 6
Diffraction record for Pu2HfSb4. The PXRD pattern is computed, not measured: it uses the PBE geometry in Alexandria and Cu Ka.
Peak positions follow from Bragg's law for the DFT cell and can differ from measured ones.

```
Pu2HfSb4
1.0
4.314 0.000 0.000
0.000 4.314 0.000
0.000 0.000 10.705
Pu Hf Sb
2 1 4
Cartesian
0.000 2.157 2.435
2.157 0.000 8.270
0.000 0.000 5.352
0.000 0.000 0.000
0.000 2.157 7.211
2.157 0.000 3.494
2.157 2.157 0.000
```

Principal peaks in the range 10 to 80 degrees two-theta, sorted by position:
- 2θ = 22.22°, intensity 25
- 2θ = 26.54°, intensity 26
- 2θ = 32.56°, intensity 20
- 2θ = 33.48°, intensity 13
- 2θ = 33.82°, intensity 100
- 2θ = 39.63°, intensity 17
- 2θ = 41.88°, intensity 35
- 2θ = 47.40°, intensity 12
- 2θ = 54.65°, intensity 14
- 2θ = 71.34°, intensity 23

=====

Record 7
Diffraction record for Ac3Pr4Ni4. The PXRD pattern is computed, not measured: it uses the PBE geometry in Alexandria and Cu Ka.
Peak positions follow from Bragg's law for the DFT cell and can differ from measured ones.

```
Ac3Pr4Ni4
1.0
-2.461 3.904 7.883
2.461 -3.904 7.883
2.461 3.904 -7.883
Ac Pr Ni
3 4 4
Cartesian
0.000 0.000 0.000
2.461 0.000 6.220
0.000 3.904 1.663
2.461 1.701 -2.682
2.461 1.701 2.682
0.000 2.203 5.201
0.000 2.203 10.565
0.000 0.000 3.275
2.461 2.674 0.000
0.000 1.230 7.883
0.000 0.000 12.491
```

Principal peaks in the range 10 to 80 degrees two-theta, sorted by position:
- 2θ = 24.78°, intensity 14
- 2θ = 25.46°, intensity 17
- 2θ = 29.75°, intensity 100
- 2θ = 30.58°, intensity 34
- 2θ = 31.25°, intensity 68
- 2θ = 33.91°, intensity 24
- 2θ = 36.51°, intensity 40
- 2θ = 38.60°, intensity 18
- 2θ = 48.34°, intensity 20
- 2θ = 55.69°, intensity 14

=====

Record 8
Diffraction record for Li3H2Pd. The PXRD pattern is computed, not measured: it uses the PBE geometry in Alexandria and Cu Ka.
Peak positions follow from Bragg's law for the DFT cell and can differ from measured ones.

```
Li3H2Pd
1.0
-2.394 4.866 2.822
2.394 -4.866 2.822
2.394 4.866 -2.822
Li H Pd
6 4 2
Cartesian
2.394 -2.141 1.411
0.000 0.000 1.411
2.394 2.141 1.411
0.000 2.725 1.411
0.000 0.000 4.232
0.000 7.006 1.411
1.171 1.291 0.000
1.171 -1.291 2.822
1.223 6.156 0.000
1.223 3.575 2.822
2.394 0.000 0.000
0.000 4.866 0.000
```

Principal peaks in the range 10 to 80 degrees two-theta, sorted by position:
- 2θ = 18.23°, intensity 65
- 2θ = 20.67°, intensity 100
- 2θ = 31.71°, intensity 14
- 2θ = 33.36°, intensity 26
- 2θ = 36.82°, intensity 26
- 2θ = 36.95°, intensity 14
- 2θ = 38.16°, intensity 46
- 2θ = 42.06°, intensity 15
- 2θ = 46.69°, intensity 29
- 2θ = 53.66°, intensity 27

=====

Record 9
Diffraction record for LaSmHoN3. The PXRD pattern is computed, not measured: it uses the PBE geometry in Alexandria and Cu Ka.
Peak positions follow from Bragg's law for the DFT cell and can differ from measured ones.

```
LaSmHoN3
1.0
6.151 0.000 0.000
0.000 3.595 0.000
-1.891 0.000 9.034
La Sm Ho N
2 2 2 6
Cartesian
0.546 0.899 1.779
3.715 2.696 7.255
0.630 2.696 4.929
3.630 0.899 4.105
0.563 0.899 7.774
3.697 2.696 1.260
-1.026 0.899 6.087
-0.265 2.696 8.896
2.227 2.696 3.111
2.033 0.899 5.923
4.525 0.899 0.138
5.286 2.696 2.947
```

Principal peaks in the range 10 to 80 degrees two-theta, sorted by position:
- 2θ = 29.29°, intensity 40
- 2θ = 29.66°, intensity 62
- 2θ = 30.34°, intensity 15
- 2θ = 31.60°, intensity 100
- 2θ = 33.39°, intensity 92
- 2θ = 35.97°, intensity 16
- 2θ = 39.22°, intensity 20
- 2θ = 50.79°, intensity 20
- 2θ = 52.53°, intensity 17
- 2θ = 59.90°, intensity 31

=====

Record 10
Diffraction record for Zr5Zn4Si4. The PXRD pattern is computed, not measured: it uses the PBE geometry in Alexandria and Cu Ka.
Peak positions follow from Bragg's law for the DFT cell and can differ from measured ones.

```
Zr5Zn4Si4
1.0
-5.417 5.417 1.910
5.417 -5.417 1.910
5.417 5.417 -1.910
Zr Zn Si
5 4 4
Cartesian
0.000 0.000 0.000
6.813 3.238 0.000
3.238 4.020 0.000
2.179 1.397 1.910
-1.397 2.179 1.910
4.476 1.138 0.000
4.279 -0.940 1.910
1.138 6.357 0.000
0.940 4.279 1.910
8.193 0.649 0.000
0.649 2.641 0.000
4.767 2.776 1.910
-2.776 4.767 1.910
```

Principal peaks in the range 10 to 80 degrees two-theta, sorted by position:
- 2θ = 29.79°, intensity 24
- 2θ = 34.17°, intensity 35
- 2θ = 35.15°, intensity 12
- 2θ = 37.11°, intensity 19
- 2θ = 38.11°, intensity 100
- 2θ = 41.73°, intensity 14
- 2θ = 42.55°, intensity 35
- 2θ = 47.61°, intensity 20
- 2θ = 65.75°, intensity 18
- 2θ = 67.56°, intensity 14

=====

Record 11
Diffraction record for Li2Nd2Co15. The PXRD pattern is computed, not measured: it uses the PBE geometry in Alexandria and Cu Ka.
Peak positions follow from Bragg's law for the DFT cell and can differ from measured ones.

```
Li2Nd2Co15
1.0
4.231 2.443 4.020
-4.231 2.443 4.020
0.000 -4.886 4.020
Li Nd Co
2 2 15
Cartesian
0.000 0.000 1.155
0.000 0.000 10.907
0.000 0.000 4.142
0.000 0.000 7.919
-4.231 0.000 6.031
-1.220 -2.773 4.020
-2.116 1.221 2.010
-3.011 0.330 4.020
-2.115 -1.221 5.888
1.220 -2.773 4.020
-1.791 2.443 4.020
0.000 -2.442 6.173
-2.115 1.221 6.173
2.116 1.221 2.010
2.115 -1.221 5.888
0.000 2.442 5.888
3.011 0.330 4.020
1.791 2.443 4.020
2.115 1.221 6.173
```

Principal peaks in the range 10 to 80 degrees two-theta, sorted by position:
- 2θ = 25.40°, intensity 19
- 2θ = 30.67°, intensity 40
- 2θ = 36.79°, intensity 23
- 2θ = 38.67°, intensity 19
- 2θ = 42.74°, intensity 46
- 2θ = 43.34°, intensity 100
- 2θ = 45.10°, intensity 35
- 2θ = 48.63°, intensity 21
- 2θ = 62.50°, intensity 18
- 2θ = 63.88°, intensity 21

=====

- Number 11 is which compound?
  Li2Nd2Co15